For V2Se2O9, DFT lattice parameters and positions (GGA+U) gives the computed X-ray diffraction stick pattern in this record (CuKα).
Lines closer than 0.1° are merged.

Cell and atoms:
```
V2Se2O9
1.0
7.413 0.000 0.000
0.000 7.318 0.000
-3.348 0.000 14.129
V Se O
8 8 36
Direct
0.033 0.166 0.428
0.033 0.334 0.928
0.382 0.122 0.633
0.382 0.378 0.133
0.618 0.622 0.867
0.618 0.878 0.367
0.967 0.666 0.072
0.967 0.834 0.572
0.034 0.732 0.361
0.034 0.768 0.861
0.393 0.683 0.629
0.393 0.817 0.129
0.607 0.183 0.871
0.607 0.317 0.371
0.966 0.232 0.139
0.966 0.268 0.639
0.059 0.534 0.845
0.059 0.966 0.345
0.086 0.702 0.483
0.086 0.798 0.983
0.164 0.180 0.897
0.164 0.320 0.397
0.183 0.058 0.532
0.183 0.442 0.032
0.200 0.734 0.164
0.200 0.766 0.664
0.205 0.206 0.167
0.205 0.294 0.667
0.475 0.100 0.767
0.475 0.400 0.267
0.482 0.739 0.405
0.482 0.761 0.905
0.497 0.606 0.117
0.497 0.894 0.617
0.503 0.106 0.383
0.503 0.394 0.883
0.518 0.239 0.095
0.518 0.261 0.595
0.525 0.600 0.733
0.525 0.900 0.233
0.795 0.706 0.333
0.795 0.794 0.833
0.800 0.234 0.336
0.800 0.266 0.836
0.817 0.558 0.968
0.817 0.942 0.468
0.836 0.680 0.603
0.836 0.820 0.103
0.914 0.202 0.017
0.914 0.298 0.517
0.941 0.034 0.655
0.941 0.466 0.155
```

Largest 10 diffraction maxima, in order of rising 2θ, 2θ from 10° to 80°:
two_theta	Rel. int.
15.4	66.3
24.3	58.5
24.7	42.9
25.0	42.9
25.2	100.0
27.4	61.2
28.2	24.9
30.3	32.7
35.3	27.8
37.0	35.3